Starting from a crystal structure in the Materials Project, relaxed with PBE, the powder X-ray diffraction pattern of Ho7Mg3Rh2 was calculated for Cu Kα (weighted mean of Kα1 and Kα2).
Neutral-atom scattering factors, no anomalous dispersion.

Main lines, in order of rising 2θ (2θ from 15° to 90°):
- 28.6 deg, I = 50
- 28.7 deg, I = 34
- 32.3 deg, I = 55
- 32.3 deg, I = 42
- 34.3 deg, I = 100
- 34.4 deg, I = 69
- 37.4 deg, I = 33
- 57.6 deg, I = 43

Structure:
Cell: 9.5883 9.5883 9.6291 Å, 120.00 120.00 60.09°
Element x y z (fractional)
Ho (0.0000, 0.0000, 0.0000)
Ho (0.0014, 0.6146, 0.6153)
Ho (0.0017, 0.0017, 0.6133)
Ho (0.2178, 0.5912, 0.3955)
Ho (0.2186, 0.2186, 0.0199)
Ho (0.4643, 0.8437, 0.1485)
Ho (0.4646, 0.4646, 0.7716)
Ho (0.4660, 0.8428, 0.7701)
Ho (0.5888, 0.5888, 0.3927)
Ho (0.5912, 0.2178, 0.3955)
Ho (0.6146, 0.0014, 0.6153)
Ho (0.8428, 0.4660, 0.7701)
Ho (0.8437, 0.4643, 0.1485)
Ho (0.8436, 0.8436, 0.1472)
Mg (0.2177, 0.5902, 0.0243)
Mg (0.2338, 0.2338, 0.3783)
Mg (0.2338, 0.9120, 0.3753)
Mg (0.2375, 0.2375, 0.7052)
Mg (0.5902, 0.2177, 0.0243)
Mg (0.9120, 0.2338, 0.3753)
Rh (0.2312, 0.7975, 0.8175)
Rh (0.7936, 0.7936, 0.3807)
Rh (0.7942, 0.7942, 0.8153)
Rh (0.7975, 0.2312, 0.8175)

=====

Starting from a crystal structure in the Materials Project, relaxed with PBE, the powder X-ray diffraction pattern of Ho4MgRu was calculated for Cu Kα (weighted mean of Kα1 and Kα2).
Neutral-atom scattering factors, no anomalous dispersion.

Main lines, in order of rising 2θ (2θ from 15° to 90°):
- 28.5 deg, I = 48
- 32.1 deg, I = 60
- 34.1 deg, I = 100
- 37.2 deg, I = 31
- 55.0 deg, I = 15
- 57.2 deg, I = 56
- 86.2 deg, I = 17
- 88.1 deg, I = 15

Structure:
Cell: 9.6689 9.6689 9.6689 Å, 60.00 60.00 60.00°
Element x y z (fractional)
Ho (0.0310, 0.6563, 0.6563)
Ho (0.0630, 0.0630, 0.4370)
Ho (0.0630, 0.4370, 0.0630)
Ho (0.0630, 0.4370, 0.4370)
Ho (0.1858, 0.1858, 0.8142)
Ho (0.1858, 0.8142, 0.1858)
Ho (0.1858, 0.8142, 0.8142)
Ho (0.4370, 0.0630, 0.0630)
Ho (0.4370, 0.0630, 0.4370)
Ho (0.4370, 0.4370, 0.0630)
Ho (0.6563, 0.0310, 0.6563)
Ho (0.6563, 0.6563, 0.0310)
Ho (0.6563, 0.6563, 0.6563)
Ho (0.8142, 0.1858, 0.1858)
Ho (0.8142, 0.1858, 0.8142)
Ho (0.8142, 0.8142, 0.1858)
Mg (0.4210, 0.4210, 0.4210)
Mg (0.4210, 0.4210, 0.7371)
Mg (0.4210, 0.7371, 0.4210)
Mg (0.7371, 0.4210, 0.4210)
Ru (0.4187, 0.8604, 0.8604)
Ru (0.8604, 0.4187, 0.8604)
Ru (0.8604, 0.8604, 0.4187)
Ru (0.8604, 0.8604, 0.8604)